ThB4Rh4: theoretical powder diffraction line list (Cu Kα (λ = 1.5418 Å)), based on a GGA-PBE-relaxed structure.

Cell and atoms:
Unit cell a=5.392 b=5.392 c=7.622 alpha=90.00 beta=90.00 gamma=90.00
Atoms (fractional coordinates):
1 Th 0.250 0.750 0.250
2 Th 0.750 0.250 0.750
3 B 0.084 0.250 0.098
4 B 0.250 0.084 0.598
5 B 0.250 0.416 0.598
6 B 0.416 0.250 0.098
7 B 0.584 0.750 0.902
8 B 0.750 0.584 0.402
9 B 0.750 0.916 0.402
10 B 0.916 0.750 0.902
11 Rh 0.000 0.250 0.395
12 Rh 0.000 0.750 0.605
13 Rh 0.250 0.000 0.895
14 Rh 0.250 0.500 0.895
15 Rh 0.500 0.250 0.395
16 Rh 0.500 0.750 0.605
17 Rh 0.750 0.000 0.105
18 Rh 0.750 0.500 0.105

Peak list (6 most intense, 5° ≤ 2θ ≤ 70°, low angle first)
- hkl 2 0 0, 2θ 33.23, I 27.9
- hkl 2 0 1, 2θ 35.31, I 29.7
- hkl 1 0 3, 2θ 39.19, I 100.0
- hkl 2 2 2, 2θ 53.76, I 20.2
- hkl 3 0 3, 2θ 63.38, I 28.1
- hkl 4 0 0, 2θ 69.77, I 23.7